# 1
Theoretical powder diffraction line list
Compound: Tl2CdPd4
Radiation: copper Kα
Structure: the GGA-PBE geometry in Alexandria

Main lines, in order of rising 2θ (10 to 90 degrees two-theta):
d_spacing  Position (°2θ)  I_rel  hkl
4.745  18.70  58  1 -1 0
3.275  27.23  54  0 2 0
3.250  27.45  54  2 0 0
2.404  37.41  77  2 2 2
2.374  37.90  100  2 -2 0
2.367  38.02  47  -1 2 2
2.276  39.59  93  1 0 3
2.270  39.71  51  0 1 3

Crystal structure
```
data_Tl2CdPd4
_chemical_formula_sum 'Tl4 Cd2 Pd8'
_symmetry_space_group_name_H-M 'P -1'
_symmetry_Int_Tables_number 2
_cell_length_a 6.8735
_cell_length_b 6.9120
_cell_length_c 7.1909
_cell_angle_alpha 71.62
_cell_angle_beta 71.26
_cell_angle_gamma 87.01
loop_
_symmetry_equiv_pos_as_xyz
'x,y,z'
'-x,-y,-z'
loop_
_atom_site_label
_atom_site_fract_x
_atom_site_fract_y
_atom_site_fract_z
Tl1 0.0000 0.0000 0.0000
Tl2 0.0000 0.0000 0.5000
Tl3 0.0000 0.5000 0.0000
Tl4 0.5000 0.0000 0.5000
Cd1 0.4546 0.5370 0.2522
Pd1 0.0374 0.6550 0.3146
Pd2 0.2422 0.6627 0.5906
Pd3 0.3374 0.7579 0.9108
Pd4 0.3478 0.9570 0.1881
```

---

# 2
Theoretical powder diffraction line list
Compound: Li2Al8V
Radiation: copper Kα
Structure: the GGA-PBE geometry in Alexandria

Main lines, in order of rising 2θ (10 to 90 degrees two-theta):
d_spacing  Position (°2θ)  I_rel  hkl
6.054  14.63  37  0 1 1
3.039  29.39  28  1 1 2
2.294  39.27  31  1 1 4
2.287  39.40  21  0 3 1
2.215  40.73  100  1 2 3
2.032  44.59  23  2 0 0
2.020  44.88  19  0 0 6
1.206  79.51  13  3 2 3

Crystal structure
```
data_Li2Al8V
_chemical_formula_sum 'Li4 Al16 V2'
_symmetry_space_group_name_H-M 'I m m m'
_symmetry_Int_Tables_number 71
_symmetry_space_group_name_Hall '-I 2 2'
_cell_length_a 4.0643
_cell_length_b 6.9861
_cell_length_c 12.1179
_cell_angle_alpha 90.00
_cell_angle_beta 90.00
_cell_angle_gamma 90.00
loop_
_atom_site_label
_atom_site_fract_x
_atom_site_fract_y
_atom_site_fract_z
Li1 0.0000 0.0000 0.1989
Al1 0.0000 0.1993 0.0000
Al2 0.0000 0.2808 0.3447
Al3 0.0000 0.5000 0.1504
V1 0.0000 0.0000 0.5000
```

---

# 3
Theoretical powder diffraction line list
Compound: Sc3Zn2Ga3
Radiation: copper Kα
Structure: the GGA-PBE geometry in Alexandria

Main lines, in order of rising 2θ (10 to 90 degrees two-theta):
d_spacing  Position (°2θ)  I_rel  hkl
3.412  26.12  28  0 2 3
2.592  34.61  28  1 3 1
2.573  34.87  80  1 1 4
2.296  39.24  22  0 0 6
2.288  39.39  100  1 3 3
2.094  43.21  89  2 0 0
1.834  49.71  24  1 5 0
1.754  52.14  19  1 1 7

Crystal structure
```
data_Sc3Zn2Ga3
_chemical_formula_sum 'Sc12 Zn8 Ga12'
_symmetry_space_group_name_H-M 'C m c m'
_symmetry_Int_Tables_number 63
_symmetry_space_group_name_Hall '-C 2c 2'
_cell_length_a 4.1862
_cell_length_b 10.1968
_cell_length_c 13.7739
_cell_angle_alpha 90.00
_cell_angle_beta 90.00
_cell_angle_gamma 90.00
loop_
_atom_site_label
_atom_site_fract_x
_atom_site_fract_y
_atom_site_fract_z
Sc1 0.0000 0.0791 0.1140
Sc2 0.0000 0.3502 0.2500
Zn1 0.0000 0.2142 0.6008
Ga1 0.0000 0.3642 0.7500
Ga2 0.0000 0.3916 0.0440
```